Record 1
SiO2: computed powder XRD pattern (a wavelength of 1.5418 Å), based on a structure optimized by DFT (PBE).
Lines closer than 0.1° are merged.

Structural model:
Unit cell a=10.038 b=7.583 c=9.396 alpha=90.00 beta=90.00 gamma=90.00
Space group Pmma (No. 51)
One atom of each set of equivalent atoms:
Si 0.095 0.000 0.138 (multiplicity 4)
Si 0.095 0.294 0.371 (multiplicity 8)
O 0.000 0.000 0.000 (multiplicity 2)
O 0.000 0.229 0.500 (multiplicity 4)
O 0.064 0.177 0.231 (multiplicity 8)
O 0.065 0.500 0.332 (multiplicity 4)
O 0.250 0.000 0.085 (multiplicity 2)
O 0.250 0.270 0.421 (multiplicity 4)

The 8 most intense peaks (2θ from 10° to 80°), in order of falling intensity:
- d = 6.860 Å, I = 100
- d = 5.901 Å, I = 47
- d = 3.516 Å, I = 31
- d = 3.152 Å, I = 27
- d = 5.019 Å, I = 23
- d = 3.711 Å, I = 16
- d = 2.831 Å, I = 14
- d = 7.583 Å, I = 11



Record 2
Ba6LiNb2IrCl2O12: computed powder XRD pattern (a wavelength of 1.5418 Å), based on a structure optimized by DFT (PBE).
Lines closer than 0.1° are merged.

Structural model:
Unit cell a=6.002 b=6.034 c=15.407 alpha=94.20 beta=90.02 gamma=119.78
Space group P1 (No. 1)
One atom of each set of equivalent atoms:
Ba 0.000 0.000 0.000 (multiplicity 1)
Ba 0.028 0.056 0.269 (multiplicity 1)
Ba 0.068 0.134 0.683 (multiplicity 1)
Ba 0.318 0.636 0.872 (multiplicity 1)
Ba 0.349 0.698 0.124 (multiplicity 1)
Ba 0.386 0.772 0.539 (multiplicity 1)
Li 0.491 0.980 0.732 (multiplicity 1)
Nb 0.673 0.346 0.090 (multiplicity 1)
Nb 0.747 0.493 0.722 (multiplicity 1)
Ir 0.677 0.353 0.905 (multiplicity 1)
Cl 0.039 0.078 0.480 (multiplicity 1)
Cl 0.360 0.720 0.331 (multiplicity 1)
O 0.091 0.683 0.679 (multiplicity 1)
O 0.351 0.184 0.148 (multiplicity 1)
O 0.412 0.253 0.801 (multiplicity 1)
O 0.507 0.485 0.999 (multiplicity 1)
O 0.518 0.038 0.986 (multiplicity 1)
O 0.594 0.685 0.679 (multiplicity 1)
O 0.596 0.193 0.636 (multiplicity 1)
O 0.827 0.178 0.148 (multiplicity 1)
O 0.841 0.252 0.801 (multiplicity 1)
O 0.843 0.678 0.153 (multiplicity 1)
O 0.845 0.688 0.843 (multiplicity 1)
O 0.979 0.482 0.999 (multiplicity 1)

The 8 most intense peaks (2θ from 10° to 80°), in order of falling intensity:
- d = 3.010 Å, I = 100
- d = 3.000 Å, I = 78
- d = 3.153 Å, I = 40
- d = 3.574 Å, I = 32
- d = 2.112 Å, I = 25
- d = 2.232 Å, I = 22
- d = 4.992 Å, I = 22
- d = 2.974 Å, I = 21